Theoretical X-ray powder pattern of Cs2K5NaHg for Cu Kα, 1.54184 Å, from a PBE-relaxed structure.
Lines closer than 0.1° are merged.

Atomic structure:
```
data_Cs2K5NaHg
_chemical_formula_sum 'Cs4 K10 Na2 Hg2'
_space_group_name_H-M_alt 'I 4 m m'
_space_group_IT_number 107
_space_group_name_Hall 'I 4 -2'
_cell_length_a 9.5171
_cell_length_b 9.5171
_cell_length_c 13.6092
_cell_angle_alpha 90.00
_cell_angle_beta 90.00
_cell_angle_gamma 90.00
loop_
_atom_site_label
_atom_site_type_symbol
_atom_site_fract_x
_atom_site_fract_y
_atom_site_fract_z
Cs1 Cs 0.0000 0.5000 0.0000
K1 K 0.0000 0.0000 0.4743
K2 K 0.2407 0.2407 0.7457
Na1 Na 0.0000 0.0000 0.9755
Hg1 Hg 0.0000 0.0000 0.2059
```

The 10 most intense peaks (10 to 90 degrees two-theta), in order of rising 2θ:
| 2theta | d/Å | intensity | h k l |
| --- | --- | --- | --- |
| 11.3 | 7.799 | 71 | 1 0 1 |
| 18.5 | 4.785 | 100 | 1 1 2 |
| 18.6 | 4.759 | 45 | 2 0 0 |
| 21.9 | 4.062 | 41 | 2 1 1 |
| 22.8 | 3.900 | 49 | 2 0 2 |
| 26.2 | 3.402 | 30 | 0 0 4 |
| 26.5 | 3.365 | 73 | 2 2 0 |
| 32.5 | 2.752 | 50 | 3 1 2 |
| 37.6 | 2.392 | 44 | 2 2 4 |
| 37.8 | 2.379 | 28 | 4 0 0 |

Theoretical X-ray powder pattern of TaP4S6Cl5 for Cu Kα, 1.54184 Å, from a PBE-relaxed structure.
Lines closer than 0.1° are merged.

Atomic structure:
```
data_TaP4S6Cl5
_chemical_formula_sum 'Ta2 P8 S12 Cl10'
_space_group_name_H-M_alt 'P -1'
_space_group_IT_number 2
_space_group_name_Hall '-P 1'
_cell_length_a 7.6948
_cell_length_b 11.9740
_cell_length_c 12.1287
_cell_angle_alpha 104.31
_cell_angle_beta 107.04
_cell_angle_gamma 93.61
loop_
_atom_site_label
_atom_site_type_symbol
_atom_site_fract_x
_atom_site_fract_y
_atom_site_fract_z
Ta1 Ta 0.0116 0.1567 0.2637
P1 P 0.2875 0.5563 0.1706
P2 P 0.4179 0.4964 0.8039
P3 P 0.4216 0.2840 0.5784
P4 P 0.4283 0.2284 0.8511
S1 S 0.2875 0.4296 0.6148
S2 S 0.2954 0.6907 0.0855
S3 S 0.2987 0.3794 0.8775
S4 S 0.3015 0.6420 0.3501
S5 S 0.3599 0.1568 0.6577
S6 S 0.3748 0.2090 0.4049
Cl1 Cl 0.0140 0.3599 0.2985
Cl2 Cl 0.0572 0.9634 0.2518
Cl3 Cl 0.0689 0.8313 0.5633
Cl4 Cl 0.1717 0.1604 0.1268
Cl5 Cl 0.2787 0.8896 0.8719
```

The 10 most intense peaks (10 to 90 degrees two-theta), in order of rising 2θ:
| 2theta | d/Å | intensity | h k l |
| --- | --- | --- | --- |
| 13.4 | 6.598 | 59 | 1 -1 0 |
| 14.2 | 6.226 | 86 | 1 1 -1 |
| 14.7 | 6.029 | 76 | -1 1 1 |
| 15.3 | 5.798 | 100 | 0 2 -1 |
| 15.9 | 5.569 | 48 | 0 0 2 |
| 16.5 | 5.379 | 35 | 1 -1 1 |
| 16.7 | 5.317 | 23 | 1 0 -2 |
| 19.3 | 4.606 | 23 | 0 2 1 |
| 23.0 | 3.865 | 24 | 1 0 2 |
| 30.8 | 2.906 | 26 | 2 1 1 |